The following is a simulated XRD peak list of Co3P2O8. It was derived from a GGA+U-relaxed structure, using λ = 1.5418 Å (Cu Kα).
Neutral-atom scattering factors, no anomalous dispersion.

Principal peaks in the range 2θ from 10° to 90°, in order of rising 2θ:
2θ (°), I (rel.), index
20.20, 87, 1 0 0
21.72, 39, 1 0 -2
22.81, 30, 1 1 0
25.47, 100, 0 1 2
27.47, 23, 1 2 -1
31.47, 19, 0 2 2
35.32, 53, 2 0 -2
36.49, 46, 1 3 -1
42.86, 25, 1 3 1
59.15, 21, 2 3 1

Atomic structure:
```
data_Co3P2O8
_space_group_name_H-M_alt 'P 1 21/c 1'
_space_group_IT_number 14
_cell_length_a 5.0921
_cell_length_b 8.4482
_cell_length_c 8.9026
_cell_angle_alpha 90.00
_cell_angle_beta 120.32
_cell_angle_gamma 90.00
loop_
_space_group_symop_operation_xyz
'x,y,z'
'-x,-y,-z'
'-x,y+1/2,-z+1/2'
'x,-y+1/2,z+1/2'
loop_
_atom_site_label
_atom_site_type_symbol
_atom_site_fract_x
_atom_site_fract_y
_atom_site_fract_z
Co1 Co 0.0000 0.0000 0.0000
Co2 Co 0.0201 0.1408 0.6131
P1 P 0.3371 0.6935 0.3002
O1 O 0.1868 0.5787 0.1415
O2 O 0.1888 0.6385 0.7422
O3 O 0.2697 0.6420 0.4438
O4 O 0.3152 0.1948 0.1287
```